Record 1
# Ac5Sc2Sn5
Computed powder X-ray diffraction pattern, CuKα. Input: the PBE geometry in Alexandria.

Top 6 peaks for 5 to 70 degrees two-theta, in order of rising 2θ:
d [Å]  two_theta  Rel. int.
3.337  26.7  63
3.213  27.8  31
3.054  29.2  48
2.958  30.2  100
2.867  31.2  55
2.412  37.3  37

Crystal structure
Cell: 7.632 7.632 12.018 Å, 95.53 95.53 36.84°
Positions (direct):
1 Ac 0.000 0.000 0.000
2 Ac 0.143 0.143 0.600
3 Ac 0.273 0.273 0.897
4 Ac 0.727 0.727 0.103
5 Ac 0.857 0.857 0.400
6 Sc 0.428 0.428 0.703
7 Sc 0.572 0.572 0.297
8 Sn 0.187 0.187 0.299
9 Sn 0.393 0.393 0.162
10 Sn 0.500 0.500 0.500
11 Sn 0.607 0.607 0.838
12 Sn 0.813 0.813 0.701


Record 2
# Ac3Sc4Sn4
Computed powder X-ray diffraction pattern, CuKα. Input: the PBE geometry in Alexandria.

Top 6 peaks for 5 to 70 degrees two-theta, in order of rising 2θ:
d [Å]  two_theta  Rel. int.
3.625  24.6  34
3.140  28.4  100
2.808  31.9  36
2.093  43.2  22
1.986  45.7  23
1.813  50.3  26

Crystal structure
Cell: 7.690 7.690 7.690 Å, 109.47 109.47 109.47°
Positions (direct):
1 Ac 0.000 0.500 0.500
2 Ac 0.500 0.000 0.500
3 Ac 0.500 0.500 0.000
4 Sc 0.000 0.000 0.753
5 Sc 0.000 0.753 0.000
6 Sc 0.247 0.247 0.247
7 Sc 0.753 0.000 0.000
8 Sn 0.000 0.000 0.387
9 Sn 0.000 0.387 0.000
10 Sn 0.387 0.000 0.000
11 Sn 0.613 0.613 0.613


Record 3
# Ac2TbSc
Computed powder X-ray diffraction pattern, CuKα. Input: the PBE geometry in Alexandria.

Top 6 peaks for 5 to 70 degrees two-theta, in order of rising 2θ:
d [Å]  two_theta  Rel. int.
4.160  21.4  16
2.941  30.4  100
2.080  43.5  19
1.860  49.0  8
1.698  54.0  41
1.471  63.2  13

Crystal structure
Cell: 8.319 8.319 8.319 Å, 90.00 90.00 90.00°
Positions (direct):
1 Ac 0.250 0.250 0.250
2 Ac 0.250 0.250 0.750
3 Ac 0.250 0.750 0.250
4 Ac 0.250 0.750 0.750
5 Ac 0.750 0.250 0.250
6 Ac 0.750 0.250 0.750
7 Ac 0.750 0.750 0.250
8 Ac 0.750 0.750 0.750
9 Tb 0.000 0.000 0.000
10 Tb 0.000 0.500 0.500
11 Tb 0.500 0.000 0.500
12 Tb 0.500 0.500 0.000
13 Sc 0.000 0.000 0.500
14 Sc 0.000 0.500 0.000
15 Sc 0.500 0.000 0.000
16 Sc 0.500 0.500 0.500


Record 4
# Ac3ScTe6
Computed powder X-ray diffraction pattern, CuKα. Input: the PBE geometry in Alexandria.

Top 6 peaks for 5 to 70 degrees two-theta, in order of rising 2θ:
d [Å]  two_theta  Rel. int.
4.514  19.7  34
4.375  20.3  96
3.032  29.5  94
2.732  32.8  100
2.669  33.6  71
2.592  34.6  34

Crystal structure
Cell: 9.321 9.321 9.321 Å, 98.52 98.52 98.52°
Positions (direct):
1 Ac 0.115 0.288 0.630
2 Ac 0.288 0.630 0.115
3 Ac 0.370 0.885 0.712
4 Ac 0.630 0.115 0.288
5 Ac 0.712 0.370 0.885
6 Ac 0.885 0.712 0.370
7 Sc 0.000 0.000 0.000
8 Sc 0.500 0.500 0.500
9 Te 0.027 0.936 0.688
10 Te 0.064 0.312 0.973
11 Te 0.194 0.560 0.430
12 Te 0.312 0.973 0.064
13 Te 0.430 0.194 0.560
14 Te 0.440 0.570 0.806
15 Te 0.560 0.430 0.194
16 Te 0.570 0.806 0.440
17 Te 0.688 0.027 0.936
18 Te 0.806 0.440 0.570
19 Te 0.936 0.688 0.027
20 Te 0.973 0.064 0.312


Record 5
# Ac4ScTe5
Computed powder X-ray diffraction pattern, CuKα. Input: the PBE geometry in Alexandria.

Top 6 peaks for 5 to 70 degrees two-theta, in order of rising 2θ:
d [Å]  two_theta  Rel. int.
3.267  27.3  100
2.592  34.6  13
2.349  38.3  31
2.273  39.6  41
1.866  48.8  21
1.442  64.6  18

Crystal structure
Cell: 19.688 19.688 19.688 Å, 13.26 13.26 13.26°
Positions (direct):
1 Ac 0.106 0.106 0.106
2 Ac 0.298 0.298 0.298
3 Ac 0.702 0.702 0.702
4 Ac 0.894 0.894 0.894
5 Sc 0.500 0.500 0.500
6 Te 0.000 0.000 0.000
7 Te 0.192 0.192 0.192
8 Te 0.404 0.404 0.404
9 Te 0.596 0.596 0.596
10 Te 0.808 0.808 0.808


Record 6
# Ac3Sc2Tl3
Computed powder X-ray diffraction pattern, CuKα. Input: the PBE geometry in Alexandria.

Top 6 peaks for 5 to 70 degrees two-theta, in order of rising 2θ:
d [Å]  two_theta  Rel. int.
4.773  18.6  25
3.274  27.2  33
2.820  31.7  100
2.700  33.2  27
2.164  41.7  18
1.789  51.0  27

Crystal structure
Cell: 9.546 9.546 6.548 Å, 90.00 90.00 120.00°
Positions (direct):
1 Ac 0.000 0.248 0.250
2 Ac 0.000 0.752 0.750
3 Ac 0.248 0.000 0.250
4 Ac 0.248 0.248 0.750
5 Ac 0.752 0.000 0.750
6 Ac 0.752 0.752 0.250
7 Sc 0.333 0.667 0.000
8 Sc 0.333 0.667 0.500
9 Sc 0.667 0.333 0.000
10 Sc 0.667 0.333 0.500
11 Tl 0.000 0.408 0.750
12 Tl 0.000 0.592 0.250
13 Tl 0.408 0.000 0.750
14 Tl 0.408 0.408 0.250
15 Tl 0.592 0.000 0.250
16 Tl 0.592 0.592 0.750